No. 1
Structure and simulated powder X-ray diffraction pattern of Fe3Co8N8 (a structure optimized by DFT (GGA-PBE); Cu Kα, 1.54184 Å).

Atomic structure:
Lattice parameters (Å, degrees): 14.100 3.915 6.365 90.00 107.66 90.00
Space group C2/m (No. 12)
Inequivalent atoms, fractional coordinates:
Fe1 0.000 0.000 0.000 x2
Fe2 0.220 0.500 0.672 x4
Co1 0.026 0.500 0.718 x4
Co2 0.097 0.000 0.486 x4
Co3 0.145 0.500 0.184 x4
Co4 0.175 0.000 0.936 x4
N1 0.044 0.000 0.736 x4
N2 0.108 0.500 0.443 x4
N3 0.141 0.000 0.215 x4
N4 0.180 0.500 0.912 x4

Largest 6 diffraction maxima, in order of rising 2θ, 5 to 70 degrees two-theta:
- 2θ = 39.71°, 2.270 Å, I 100, hkl 1 1 2
- 2θ = 44.77°, 2.025 Å, I 28, hkl 4 0 -3
- 2θ = 46.39°, 1.957 Å, I 32, hkl 0 2 0
- 2θ = 47.35°, 1.920 Å, I 25, hkl 6 0 1
- 2θ = 66.44°, 1.407 Å, I 15, hkl 4 2 -3
- 2θ = 68.45°, 1.371 Å, I 15, hkl 6 2 1



No. 2
Structure and simulated powder X-ray diffraction pattern of LiTbTl2 (a structure optimized by DFT (GGA-PBE); Cu Kα, 1.54184 Å).

Atomic structure:
Lattice parameters (Å, degrees): 7.372 7.372 7.372 90.00 90.00 90.00
Space group Fm-3m (No. 225)
Inequivalent atoms, fractional coordinates:
Li1 0.000 0.000 0.000 x4
Tb1 0.000 0.000 0.500 x4
Tl1 0.250 0.250 0.250 x8

Largest 6 diffraction maxima, in order of rising 2θ, 5 to 70 degrees two-theta:
- 2θ = 20.87°, 4.256 Å, I 17, hkl 1 1 1
- 2θ = 24.14°, 3.686 Å, I 21, hkl 2 0 0
- 2θ = 34.41°, 2.606 Å, I 100, hkl 2 2 0
- 2θ = 40.59°, 2.223 Å, I 9, hkl 3 1 1
- 2θ = 49.45°, 1.843 Å, I 18, hkl 4 0 0
- 2θ = 61.63°, 1.505 Å, I 38, hkl 4 2 2



No. 3
Structure and simulated powder X-ray diffraction pattern of K2Be2ZnO6F8 (a structure optimized by DFT (GGA-PBE); Cu Kα, 1.54184 Å).

Atomic structure:
Lattice parameters (Å, degrees): 5.851 11.362 8.672 90.00 105.47 90.00
Space group P2_1/c (No. 14)
Inequivalent atoms, fractional coordinates:
K1 0.138 0.143 0.390 x4
Be1 0.244 0.657 0.903 x4
Zn1 0.500 0.000 0.000 x2
O1 0.152 0.559 0.520 x4
O2 0.311 0.119 0.868 x4
O3 0.441 0.119 0.151 x4
F1 0.068 0.739 0.398 x4
F2 0.124 0.569 0.757 x4
F3 0.277 0.581 0.052 x4
F4 0.486 0.701 0.880 x4

Largest 6 diffraction maxima, in order of rising 2θ, 5 to 70 degrees two-theta:
- 2θ = 13.15°, 6.732 Å, I 52, hkl 0 1 1
- 2θ = 21.26°, 4.179 Å, I 55, hkl 0 0 2
- 2θ = 22.64°, 3.927 Å, I 100, hkl 1 1 1
- 2θ = 22.86°, 3.890 Å, I 68, hkl 1 0 -2
- 2θ = 25.83°, 3.450 Å, I 99, hkl 0 3 1
- 2θ = 31.67°, 2.826 Å, I 87, hkl 2 1 -1



No. 4
Structure and simulated powder X-ray diffraction pattern of Ca3Ga2Pt2 (a structure optimized by DFT (GGA-PBE); Cu Kα, 1.54184 Å).

Atomic structure:
Lattice parameters (Å, degrees): 5.809 7.929 13.914 90.00 90.00 90.00
Space group Pbcm (No. 57)
Inequivalent atoms, fractional coordinates:
Ca1 0.129 0.243 0.250 x4
Ca2 0.357 0.607 0.598 x8
Ga1 0.122 0.250 0.000 x4
Ga2 0.358 0.592 0.250 x4
Pt1 0.139 0.532 0.094 x8

Largest 6 diffraction maxima, in order of rising 2θ, 5 to 70 degrees two-theta:
- 2θ = 15.25°, 5.809 Å, I 52, hkl 1 0 0
- 2θ = 19.97°, 4.445 Å, I 90, hkl 1 1 1
- 2θ = 27.05°, 3.296 Å, I 35, hkl 1 1 3
- 2θ = 33.49°, 2.676 Å, I 40, hkl 1 2 3
- 2θ = 34.30°, 2.615 Å, I 36, hkl 0 2 4
- 2θ = 38.29°, 2.351 Å, I 100, hkl 2 1 3



No. 5
Structure and simulated powder X-ray diffraction pattern of CaLaCd2 (a structure optimized by DFT (GGA-PBE); Cu Kα, 1.54184 Å).

Atomic structure:
Lattice parameters (Å, degrees): 7.795 7.795 7.795 90.00 90.00 90.00
Space group Fm-3m (No. 225)
Inequivalent atoms, fractional coordinates:
Ca1 0.000 0.000 0.000 x4
La1 0.000 0.000 0.500 x4
Cd1 0.250 0.250 0.250 x8

Largest 6 diffraction maxima, in order of rising 2θ, 5 to 70 degrees two-theta:
- 2θ = 19.73°, 4.500 Å, I 12, hkl 1 1 1
- 2θ = 32.49°, 2.756 Å, I 100, hkl 2 2 0
- 2θ = 38.30°, 2.350 Å, I 7, hkl 3 1 1
- 2θ = 46.61°, 1.949 Å, I 18, hkl 4 0 0
- 2θ = 57.96°, 1.591 Å, I 36, hkl 4 2 2
- 2θ = 68.04°, 1.378 Å, I 11, hkl 4 4 0



No. 6
Structure and simulated powder X-ray diffraction pattern of Ca3Ga8 (a structure optimized by DFT (GGA-PBE); Cu Kα, 1.54184 Å).

Atomic structure:
Lattice parameters (Å, degrees): 4.316 4.343 25.864 90.00 90.00 90.00
Space group Immm (No. 71)
Inequivalent atoms, fractional coordinates:
Ca1 0.000 0.000 0.000 x2
Ca2 0.000 0.500 0.355 x4
Ga1 0.000 0.000 0.250 x4
Ga2 0.000 0.000 0.452 x4
Ga3 0.000 0.500 0.095 x4
Ga4 0.000 0.500 0.191 x4

Largest 6 diffraction maxima, in order of rising 2θ, 5 to 70 degrees two-theta:
- 2θ = 20.74°, 4.283 Å, I 43, hkl 0 1 1
- 2θ = 31.81°, 2.814 Å, I 44, hkl 0 1 7
- 2θ = 32.36°, 2.767 Å, I 100, hkl 1 1 4
- 2θ = 41.59°, 2.172 Å, I 38, hkl 0 2 0
- 2θ = 41.87°, 2.158 Å, I 38, hkl 2 0 0
- 2θ = 45.93°, 1.976 Å, I 42, hkl 1 1 10



No. 7
Structure and simulated powder X-ray diffraction pattern of Er2InAg (a structure optimized by DFT (GGA-PBE); Cu Kα, 1.54184 Å).

Atomic structure:
Lattice parameters (Å, degrees): 7.371 7.371 7.371 90.00 90.00 90.00
Space group Fm-3m (No. 225)
Inequivalent atoms, fractional coordinates:
Er1 0.250 0.250 0.250 x8
In1 0.000 0.000 0.000 x4
Ag1 0.000 0.000 0.500 x4

Largest 6 diffraction maxima, in order of rising 2θ, 5 to 70 degrees two-theta:
- 2θ = 24.15°, 3.685 Å, I 4, hkl 2 0 0
- 2θ = 34.41°, 2.606 Å, I 100, hkl 2 2 0
- 2θ = 42.48°, 2.128 Å, I 1, hkl 2 2 2
- 2θ = 49.46°, 1.843 Å, I 18, hkl 4 0 0
- 2θ = 55.78°, 1.648 Å, I 2, hkl 4 2 0
- 2θ = 61.65°, 1.505 Å, I 36, hkl 4 2 2



No. 8
Structure and simulated powder X-ray diffraction pattern of Zn2CoS3 (a structure optimized by DFT (GGA-PBE); Cu Kα, 1.54184 Å).

Atomic structure:
Lattice parameters (Å, degrees): 3.7656 3.7656 9.3146 90.00 90.00 120.00
Space group P3m1 (No. 156)
Inequivalent atoms, fractional coordinates:
Zn1 0.0000 0.0000 0.0000 x1
Zn2 0.3333 0.6667 0.6579 x1
Co1 0.6667 0.3333 0.3238 x1
S1 0.0000 0.0000 0.2544 x1
S2 0.3333 0.6667 0.9113 x1
S3 0.6667 0.3333 0.5689 x1

Largest 6 diffraction maxima, in order of rising 2θ, 5 to 70 degrees two-theta:
- 2θ = 28.75°, 3.105 Å, I 34, hkl 0 0 3
- 2θ = 29.01°, 3.078 Å, I 100, hkl 1 0 1
- 2θ = 33.55°, 2.671 Å, I 15, hkl 0 1 2
- 2θ = 48.01°, 1.895 Å, I 41, hkl 1 0 4
- 2θ = 48.34°, 1.883 Å, I 40, hkl 1 1 0
- 2θ = 57.22°, 1.610 Å, I 27, hkl 1 1 3